(1)
Calculated X-ray diffraction stick pattern
Compound: Li2MnPHO5
Radiation: CuKα
Structure: a cell relaxed with GGA+U
Lines closer than 0.1° are merged.

Top 10 peaks for 10° ≤ 2θ ≤ 90°, in order of rising 2θ:
d_spacing	Rel. int.
5.509	35
5.206	30
3.477	100
3.443	53
3.398	50
3.288	98
2.714	39
2.631	42
2.372	35
2.218	49

Atomic structure:
```
Li2MnPHO5
1.0
5.135 0.000 0.000
-0.595 5.822 0.000
-2.411 -2.363 6.910
Li Mn P H O
4 2 2 2 10
Cartesian
0.000 0.000 0.000 Li
-0.808 4.667 2.211 Li
0.764 -0.962 5.284 Li
2.613 0.564 4.289 Li
0.148 1.991 2.948 Mn
-0.850 1.073 6.747 Mn
2.661 0.489 1.299 P
2.802 3.464 4.443 P
1.096 1.557 5.290 H
4.293 2.713 0.693 H
-2.287 2.250 5.460 O
-0.070 3.135 1.132 O
-0.880 3.799 3.998 O
1.163 0.251 1.640 O
0.462 0.935 4.865 O
2.781 1.702 0.327 O
2.719 5.092 0.558 O
1.940 3.109 3.238 O
3.512 0.679 2.588 O
2.788 -1.162 5.260 O
```

(2)
Calculated X-ray diffraction stick pattern
Compound: Al2CrO5
Radiation: CuKα
Structure: a cell relaxed with GGA+U
Lines closer than 0.1° are merged.

Top 10 peaks for 10° ≤ 2θ ≤ 90°, in order of rising 2θ:
d_spacing	Rel. int.
4.442	100
3.204	89
2.816	85
2.543	80
2.367	36
1.962	38
1.673	46
1.668	51
1.593	53
1.410	45

Atomic structure:
```
Al2CrO5
1.0
4.780 -2.483 0.000
4.780 2.483 0.000
-2.526 0.000 6.354
Al Cr O
4 2 10
Cartesian
0.685 0.056 1.367 Al
-0.578 -0.056 4.544 Al
7.611 0.056 1.810 Al
6.348 -0.056 4.986 Al
4.780 0.000 0.000 Cr
3.517 0.000 3.177 Cr
2.578 1.733 3.517 O
0.842 0.755 5.363 O
3.193 1.733 6.013 O
4.148 0.995 1.588 O
2.105 -0.755 2.186 O
4.929 0.755 4.168 O
2.885 -0.995 4.765 O
3.841 -1.733 0.340 O
6.192 -0.755 0.991 O
4.456 -1.733 2.837 O
```